Entry 1:
This entry pairs a crystal structure of ScMnAgBr6 with its computed X-ray diffraction stick pattern. Radiation: Cu Kα X-rays. Structure: a PBE-relaxed structure.
Neutral-atom scattering factors, no anomalous dispersion.

Largest 8 diffraction maxima, by angle, 2θ from 10° to 90°:
2θ/deg, I_rel
20.47, 401
29.73, 1000
38.58, 579
42.99, 137
46.22, 377
50.41, 211
55.93, 147
76.73, 152

Atomic structure:
```
data_ScMnAgBr6
_chemical_formula_sum 'Sc2 Mn2 Ag2 Br12'
_cell_length_a 6.8034
_cell_length_b 6.8034
_cell_length_c 12.8286
_cell_angle_alpha 90.00
_cell_angle_beta 90.00
_cell_angle_gamma 120.00
_symmetry_space_group_name_H-M 'P 1'
_symmetry_Int_Tables_number 1
loop_
_symmetry_equiv_pos_as_xyz
'x,y,z'
loop_
_atom_site_label
_atom_site_type_symbol
_atom_site_fract_x
_atom_site_fract_y
_atom_site_fract_z
Sc1 Sc 0.3333 0.6667 0.2500
Sc2 Sc 0.6667 0.3333 0.7500
Mn1 Mn 0.3333 0.6667 0.7500
Mn2 Mn 0.6667 0.3333 0.2500
Ag1 Ag 0.0000 0.0000 0.0000
Ag2 Ag 0.0000 0.0000 0.5000
Br1 Br 0.0021 0.3544 0.1311
Br2 Br 0.0021 0.6477 0.3689
Br3 Br 0.3523 0.3544 0.3689
Br4 Br 0.3523 0.9979 0.1311
Br5 Br 0.3544 0.0021 0.6311
Br6 Br 0.3544 0.3523 0.8689
Br7 Br 0.6456 0.6477 0.1311
Br8 Br 0.6456 0.9979 0.3689
Br9 Br 0.6477 0.0021 0.8689
Br10 Br 0.6477 0.6456 0.6311
Br11 Br 0.9979 0.3523 0.6311
Br12 Br 0.9979 0.6456 0.8689
```

=====

Entry 2:
This entry pairs a crystal structure of LiCu2P3O10 with its computed X-ray diffraction stick pattern. Radiation: Cu Kα X-rays. Structure: a PBE-relaxed structure.
Neutral-atom scattering factors, no anomalous dispersion.

Largest 8 diffraction maxima, by angle, 2θ from 10° to 90°:
2θ/deg, I_rel
19.35, 272
23.84, 621
26.01, 214
28.94, 1000
30.93, 575
32.58, 335
45.16, 326
59.39, 249

Atomic structure:
```
data_LiCu2P3O10
_chemical_formula_sum 'Li2 Cu4 P6 O20'
_cell_length_a 4.7365
_cell_length_b 8.3280
_cell_length_c 9.4610
_cell_angle_alpha 90.00
_cell_angle_beta 104.07
_cell_angle_gamma 90.00
_symmetry_space_group_name_H-M 'P 1'
_symmetry_Int_Tables_number 1
loop_
_symmetry_equiv_pos_as_xyz
'x,y,z'
loop_
_atom_site_label
_atom_site_type_symbol
_atom_site_fract_x
_atom_site_fract_y
_atom_site_fract_z
Li1 Li 0.0000 0.0000 0.0000
Li2 Li 0.0000 0.5000 0.0000
Cu1 Cu 0.0541 0.0648 0.3258
Cu2 Cu 0.0541 0.4352 0.3258
Cu3 Cu 0.9459 0.5648 0.6742
Cu4 Cu 0.9459 0.9352 0.6742
P1 P 0.3209 0.2500 0.8253
P2 P 0.4181 0.7500 0.4471
P3 P 0.4801 0.2500 0.1383
P4 P 0.5199 0.7500 0.8617
P5 P 0.5819 0.2500 0.5529
P6 P 0.6791 0.7500 0.1747
O1 O 0.1464 0.0961 0.8187
O2 O 0.1464 0.4039 0.8187
O3 O 0.2092 0.7500 0.7567
O4 O 0.2496 0.5973 0.4597
O5 O 0.2496 0.9027 0.4597
O6 O 0.2819 0.2500 0.4407
O7 O 0.3148 0.0967 0.1472
O8 O 0.3148 0.4033 0.1472
O9 O 0.4350 0.7500 0.0234
O10 O 0.4815 0.7500 0.2863
O11 O 0.5185 0.2500 0.7137
O12 O 0.5650 0.2500 0.9766
O13 O 0.6852 0.5967 0.8528
O14 O 0.6852 0.9033 0.8528
O15 O 0.7181 0.7500 0.5593
O16 O 0.7504 0.0973 0.5403
O17 O 0.7504 0.4027 0.5403
O18 O 0.7908 0.2500 0.2433
O19 O 0.8536 0.5961 0.1813
O20 O 0.8536 0.9039 0.1813
```

=====

Entry 3:
This entry pairs a crystal structure of Nd4SbAs2N with its computed X-ray diffraction stick pattern. Radiation: Cu Kα X-rays. Structure: a PBE-relaxed structure.
Neutral-atom scattering factors, no anomalous dispersion.

Largest 8 diffraction maxima, by angle, 2θ from 10° to 90°:
2θ/deg, I_rel
27.09, 696
28.65, 222
28.85, 1000
30.73, 352
37.76, 455
42.11, 225
43.20, 260
51.74, 235

Atomic structure:
```
data_Nd4SbAs2N
_chemical_formula_sum 'Nd8 Sb2 As4 N2'
_cell_length_a 7.5443
_cell_length_b 7.5443
_cell_length_c 14.7799
_cell_angle_alpha 90.00
_cell_angle_beta 90.00
_cell_angle_gamma 147.77
_symmetry_space_group_name_H-M 'P 1'
_symmetry_Int_Tables_number 1
loop_
_symmetry_equiv_pos_as_xyz
'x,y,z'
loop_
_atom_site_label
_atom_site_type_symbol
_atom_site_fract_x
_atom_site_fract_y
_atom_site_fract_z
Nd1 Nd 0.0000 0.0000 0.0000
Nd2 Nd 0.0000 0.0000 0.5000
Nd3 Nd 0.2585 0.7415 0.6272
Nd4 Nd 0.2585 0.7415 0.8728
Nd5 Nd 0.4220 0.5780 0.2500
Nd6 Nd 0.5780 0.4220 0.7500
Nd7 Nd 0.7415 0.2585 0.1272
Nd8 Nd 0.7415 0.2585 0.3728
Sb1 Sb 0.1034 0.8966 0.2500
Sb2 Sb 0.8966 0.1034 0.7500
As1 As 0.3676 0.6324 0.0518
As2 As 0.3676 0.6324 0.4482
As3 As 0.6324 0.3676 0.5518
As4 As 0.6324 0.3676 0.9482
N1 N 0.1638 0.8362 0.7500
N2 N 0.8362 0.1638 0.2500
```

=====

Entry 4:
This entry pairs a crystal structure of Ag14As2Se9 with its computed X-ray diffraction stick pattern. Radiation: Cu Kα X-rays. Structure: a PBE-relaxed structure.
Neutral-atom scattering factors, no anomalous dispersion.

Largest 8 diffraction maxima, by angle, 2θ from 10° to 90°:
2θ/deg, I_rel
28.24, 797
29.32, 551
30.55, 416
31.80, 1000
37.45, 535
41.78, 495
42.06, 445
42.87, 496

Atomic structure:
```
data_Ag14As2Se9
_chemical_formula_sum 'Ag14 As2 Se9'
_cell_length_a 7.5408
_cell_length_b 8.4809
_cell_length_c 9.6515
_cell_angle_alpha 86.54
_cell_angle_beta 79.17
_cell_angle_gamma 68.60
_symmetry_space_group_name_H-M 'P 1'
_symmetry_Int_Tables_number 1
loop_
_symmetry_equiv_pos_as_xyz
'x,y,z'
loop_
_atom_site_label
_atom_site_type_symbol
_atom_site_fract_x
_atom_site_fract_y
_atom_site_fract_z
Ag1 Ag 0.0039 0.3866 0.1404
Ag2 Ag 0.0883 0.0830 0.8793
Ag3 Ag 0.1080 0.0763 0.5588
Ag4 Ag 0.2108 0.3594 0.6236
Ag5 Ag 0.3405 0.8101 0.0723
Ag6 Ag 0.4002 0.7264 0.5358
Ag7 Ag 0.4818 0.0410 0.2032
Ag8 Ag 0.5182 0.9590 0.7968
Ag9 Ag 0.5998 0.2736 0.4642
Ag10 Ag 0.6595 0.1899 0.9277
Ag11 Ag 0.7892 0.6406 0.3764
Ag12 Ag 0.8920 0.9237 0.4412
Ag13 Ag 0.9117 0.9170 0.1207
Ag14 Ag 0.9961 0.6134 0.8596
As1 As 0.2561 0.5355 0.1897
As2 As 0.7439 0.4645 0.8103
Se1 Se 0.0908 0.0721 0.2395
Se2 Se 0.1759 0.6076 0.4408
Se3 Se 0.2678 0.2921 0.8811
Se4 Se 0.4261 0.6778 0.8151
Se5 Se 0.5000 0.0000 0.5000
Se6 Se 0.5739 0.3222 0.1849
Se7 Se 0.7322 0.7079 0.1189
Se8 Se 0.8241 0.3924 0.5592
Se9 Se 0.9092 0.9279 0.7605
```

=====

Entry 5:
This entry pairs a crystal structure of NdSmHoEr with its computed X-ray diffraction stick pattern. Radiation: Cu Kα X-rays. Structure: a PBE-relaxed structure.
Neutral-atom scattering factors, no anomalous dispersion.

Largest 8 diffraction maxima, by angle, 2θ from 10° to 90°:
2θ/deg, I_rel
30.54, 1000
35.34, 340
35.56, 167
50.84, 121
51.00, 240
60.48, 288
60.77, 142
63.57, 124

Atomic structure:
```
data_NdSmHoEr
_chemical_formula_sum 'Nd1 Sm1 Ho1 Er1'
_cell_length_a 6.1970
_cell_length_b 6.1970
_cell_length_c 6.1970
_cell_angle_alpha 131.61
_cell_angle_beta 131.61
_cell_angle_gamma 70.85
_symmetry_space_group_name_H-M 'P 1'
_symmetry_Int_Tables_number 1
loop_
_symmetry_equiv_pos_as_xyz
'x,y,z'
loop_
_atom_site_label
_atom_site_type_symbol
_atom_site_fract_x
_atom_site_fract_y
_atom_site_fract_z
Nd1 Nd 0.0000 0.0000 0.0000
Sm1 Sm 0.2500 0.7500 0.5000
Ho1 Ho 0.5000 0.5000 0.0000
Er1 Er 0.7500 0.2500 0.5000
```

=====

Entry 6:
This entry pairs a crystal structure of Ta2GaRe2Se8 with its computed X-ray diffraction stick pattern. Radiation: Cu Kα X-rays. Structure: a PBE-relaxed structure.
Neutral-atom scattering factors, no anomalous dispersion.

Largest 8 diffraction maxima, by angle, 2θ from 10° to 90°:
2θ/deg, I_rel
12.56, 1000
30.50, 304
32.47, 449
33.88, 273
39.48, 394
41.71, 586
52.07, 236
52.93, 408

Atomic structure:
```
data_Ta2GaRe2Se8
_chemical_formula_sum 'Ta2 Ga1 Re2 Se8'
_cell_length_a 3.4598
_cell_length_b 3.4598
_cell_length_c 28.1860
_cell_angle_alpha 90.00
_cell_angle_beta 90.00
_cell_angle_gamma 120.00
_symmetry_space_group_name_H-M 'P 1'
_symmetry_Int_Tables_number 1
loop_
_symmetry_equiv_pos_as_xyz
'x,y,z'
loop_
_atom_site_label
_atom_site_type_symbol
_atom_site_fract_x
_atom_site_fract_y
_atom_site_fract_z
Ta1 Ta 0.0000 0.0000 0.0000
Ta2 Ta 0.0000 0.0000 0.4680
Ga1 Ga 0.0000 0.0000 0.6021
Re1 Re 0.0000 0.0000 0.2310
Re2 Re 0.0000 0.0000 0.7712
Se1 Se 0.3333 0.6667 0.0595
Se2 Se 0.3333 0.6667 0.4085
Se3 Se 0.3333 0.6667 0.5289
Se4 Se 0.3333 0.6667 0.9405
Se5 Se 0.6667 0.3333 0.1757
Se6 Se 0.6667 0.3333 0.2862
Se7 Se 0.6667 0.3333 0.7163
Se8 Se 0.6667 0.3333 0.8265
```

=====

Repeat the fourth record exactly.
This entry pairs a crystal structure of Ag14As2Se9 with its computed X-ray diffraction stick pattern. Radiation: Cu Kα X-rays. Structure: a PBE-relaxed structure.
Neutral-atom scattering factors, no anomalous dispersion.

Largest 8 diffraction maxima, by angle, 2θ from 10° to 90°:
2θ/deg, I_rel
28.24, 797
29.32, 551
30.55, 416
31.80, 1000
37.45, 535
41.78, 495
42.06, 445
42.87, 496

Atomic structure:
```
data_Ag14As2Se9
_chemical_formula_sum 'Ag14 As2 Se9'
_cell_length_a 7.5408
_cell_length_b 8.4809
_cell_length_c 9.6515
_cell_angle_alpha 86.54
_cell_angle_beta 79.17
_cell_angle_gamma 68.60
_symmetry_space_group_name_H-M 'P 1'
_symmetry_Int_Tables_number 1
loop_
_symmetry_equiv_pos_as_xyz
'x,y,z'
loop_
_atom_site_label
_atom_site_type_symbol
_atom_site_fract_x
_atom_site_fract_y
_atom_site_fract_z
Ag1 Ag 0.0039 0.3866 0.1404
Ag2 Ag 0.0883 0.0830 0.8793
Ag3 Ag 0.1080 0.0763 0.5588
Ag4 Ag 0.2108 0.3594 0.6236
Ag5 Ag 0.3405 0.8101 0.0723
Ag6 Ag 0.4002 0.7264 0.5358
Ag7 Ag 0.4818 0.0410 0.2032
Ag8 Ag 0.5182 0.9590 0.7968
Ag9 Ag 0.5998 0.2736 0.4642
Ag10 Ag 0.6595 0.1899 0.9277
Ag11 Ag 0.7892 0.6406 0.3764
Ag12 Ag 0.8920 0.9237 0.4412
Ag13 Ag 0.9117 0.9170 0.1207
Ag14 Ag 0.9961 0.6134 0.8596
As1 As 0.2561 0.5355 0.1897
As2 As 0.7439 0.4645 0.8103
Se1 Se 0.0908 0.0721 0.2395
Se2 Se 0.1759 0.6076 0.4408
Se3 Se 0.2678 0.2921 0.8811
Se4 Se 0.4261 0.6778 0.8151
Se5 Se 0.5000 0.0000 0.5000
Se6 Se 0.5739 0.3222 0.1849
Se7 Se 0.7322 0.7079 0.1189
Se8 Se 0.8241 0.3924 0.5592
Se9 Se 0.9092 0.9279 0.7605
```